Record 1
Ru2Pt6Rh5: calculated powder X-ray diffraction pattern (a wavelength of 1.5418 Å), based on a crystal structure in Alexandria, relaxed with PBE.
Kinematic intensities with the Lorentz-polarization factor, no thermal factor.

Crystal structure
```
data_Ru2Pt6Rh5
_space_group_name_H-M_alt 'P b a m'
_space_group_IT_number 55
_cell_length_a 8.998
_cell_length_b 16.422
_cell_length_c 2.717
_cell_angle_alpha 90.00
_cell_angle_beta 90.00
_cell_angle_gamma 90.00
loop_
_space_group_symop_operation_xyz
'x,y,z'
'-x,-y,-z'
'-x,-y,z'
'x,y,-z'
'x+1/2,-y+1/2,-z'
'-x+1/2,y+1/2,z'
'-x+1/2,y+1/2,-z'
'x+1/2,-y+1/2,z'
loop_
_atom_site_label
_atom_site_fract_x
_atom_site_fract_y
_atom_site_fract_z
Ru1 0.152 0.224 0.000
Pt1 0.006 0.910 0.000
Pt2 0.135 0.622 0.000
Pt3 0.149 0.361 0.500
Rh1 0.000 0.500 0.500
Rh2 0.102 0.773 0.500
Rh3 0.205 0.003 0.500
```

Main lines, by angle (2θ from 15° to 90°):
- (3 1 0), 30.29 deg, d 2.951, I 35
- (3 3 0), 34.08 deg, d 2.630, I 59
- (1 2 1), 36.22 deg, d 2.480, I 85
- (1 7 0), 39.73 deg, d 2.269, I 95
- (3 5 0), 40.74 deg, d 2.215, I 100
- (4 2 0), 41.63 deg, d 2.170, I 35
- (2 3 1), 42.22 deg, d 2.141, I 95
- (3 1 1), 45.37 deg, d 1.999, I 36
- (0 6 1), 47.13 deg, d 1.928, I 38
- (2 5 1), 47.92 deg, d 1.898, I 65

Record 2
ZrRuPtRh: calculated powder X-ray diffraction pattern (a wavelength of 1.5418 Å), based on a crystal structure in Alexandria, relaxed with PBE.
Kinematic intensities with the Lorentz-polarization factor, no thermal factor.

Crystal structure
```
data_ZrRuPtRh
_space_group_name_H-M_alt 'P m m m'
_space_group_IT_number 47
_cell_length_a 3.939
_cell_length_b 4.000
_cell_length_c 4.032
_cell_angle_alpha 90.00
_cell_angle_beta 90.00
_cell_angle_gamma 90.00
loop_
_space_group_symop_operation_xyz
'x,y,z'
'-x,-y,-z'
'-x,-y,z'
'x,y,-z'
'x,-y,-z'
'-x,y,z'
'-x,y,-z'
'x,-y,z'
loop_
_atom_site_label
_atom_site_fract_x
_atom_site_fract_y
_atom_site_fract_z
Zr1 0.000 0.000 0.000
Ru1 0.500 0.500 0.000
Pt1 0.000 0.500 0.500
Rh1 0.500 0.000 0.500
```

Main lines, by angle (2θ from 15° to 90°):
- (1 1 1), 39.11 deg, d 2.303, I 100
- (0 0 2), 44.96 deg, d 2.016, I 17
- (0 2 0), 45.35 deg, d 2.000, I 16
- (2 0 0), 46.09 deg, d 1.969, I 16
- (0 2 2), 65.77 deg, d 1.420, I 11
- (2 0 2), 66.35 deg, d 1.409, I 10
- (1 1 3), 78.98 deg, d 1.212, I 13
- (1 3 1), 79.54 deg, d 1.205, I 12
- (3 1 1), 80.62 deg, d 1.192, I 12
- (2 2 2), 84.03 deg, d 1.152, I 11

Record 3
PtRhS: calculated powder X-ray diffraction pattern (a wavelength of 1.5418 Å), based on a crystal structure in Alexandria, relaxed with PBE.
Kinematic intensities with the Lorentz-polarization factor, no thermal factor.

Crystal structure
```
data_PtRhS
_space_group_name_H-M_alt 'P m m 2'
_space_group_IT_number 25
_cell_length_a 3.223
_cell_length_b 5.615
_cell_length_c 5.285
_cell_angle_alpha 90.00
_cell_angle_beta 90.00
_cell_angle_gamma 90.00
loop_
_space_group_symop_operation_xyz
'x,y,z'
'-x,-y,z'
'-x,y,z'
'x,-y,z'
loop_
_atom_site_label
_atom_site_fract_x
_atom_site_fract_y
_atom_site_fract_z
Pt1 0.000 0.000 0.000
Pt2 0.000 0.500 0.007
Rh1 0.500 0.247 0.369
S1 0.000 0.000 0.566
S2 0.500 0.500 0.697
```

Main lines, by angle (2θ from 15° to 90°):
- (0 0 1), 16.77 deg, d 5.285, I 45
- (1 0 1), 32.54 deg, d 2.752, I 100
- (0 0 2), 33.92 deg, d 2.643, I 25
- (0 2 1), 36.23 deg, d 2.479, I 75
- (1 2 0), 42.71 deg, d 2.117, I 61
- (1 0 2), 44.33 deg, d 2.044, I 39
- (1 2 1), 46.19 deg, d 1.965, I 23
- (0 2 2), 47.23 deg, d 1.924, I 30
- (1 2 2), 55.63 deg, d 1.652, I 33
- (1 2 3), 69.40 deg, d 1.354, I 23

Record 4
Th6Pt2RhS3: calculated powder X-ray diffraction pattern (a wavelength of 1.5418 Å), based on a crystal structure in Alexandria, relaxed with PBE.
Kinematic intensities with the Lorentz-polarization factor, no thermal factor.

Crystal structure
```
data_Th6Pt2RhS3
_space_group_name_H-M_alt 'C 1 2/m 1'
_space_group_IT_number 12
_cell_length_a 18.368
_cell_length_b 4.094
_cell_length_c 8.479
_cell_angle_alpha 90.00
_cell_angle_beta 106.24
_cell_angle_gamma 90.00
loop_
_space_group_symop_operation_xyz
'x,y,z'
'-x,-y,-z'
'-x,y,-z'
'x,-y,z'
'x+1/2,y+1/2,z'
'-x+1/2,-y+1/2,-z'
'-x+1/2,y+1/2,-z'
'x+1/2,-y+1/2,z'
loop_
_atom_site_label
_atom_site_fract_x
_atom_site_fract_y
_atom_site_fract_z
Th1 0.000 0.000 0.242
Th2 0.162 0.500 0.084
Th3 0.167 0.500 0.583
Pt1 0.166 0.000 0.334
Rh1 0.000 0.500 0.000
S1 0.000 0.500 0.500
S2 0.168 0.000 0.834
```

Main lines, by angle (2θ from 15° to 90°):
- (4 0 -2), 25.29 deg, d 3.522, I 8
- (3 1 0), 26.54 deg, d 3.358, I 21
- (1 1 -2), 30.38 deg, d 2.942, I 100
- (7 1 -2), 42.71 deg, d 2.117, I 40
- (0 2 0), 44.30 deg, d 2.045, I 36
- (6 2 0), 54.66 deg, d 1.679, I 19
- (2 2 -4), 63.19 deg, d 1.472, I 8
- (8 2 -4), 70.59 deg, d 1.334, I 18
- (1 3 -2), 72.86 deg, d 1.298, I 11
- (7 3 -2), 80.40 deg, d 1.194, I 9

Record 5
Th2SbPtRh5: calculated powder X-ray diffraction pattern (a wavelength of 1.5418 Å), based on a crystal structure in Alexandria, relaxed with PBE.
Kinematic intensities with the Lorentz-polarization factor, no thermal factor.

Crystal structure
```
data_Th2SbPtRh5
_space_group_name_H-M_alt 'I 4/m c m'
_space_group_IT_number 140
_space_group_name_Hall '-I 4 2c'
_cell_length_a 8.529
_cell_length_b 8.529
_cell_length_c 10.303
_cell_angle_alpha 90.00
_cell_angle_beta 90.00
_cell_angle_gamma 90.00
loop_
_atom_site_label
_atom_site_fract_x
_atom_site_fract_y
_atom_site_fract_z
Th1 0.140 0.360 0.000
Sb1 0.000 0.000 0.250
Pt1 0.000 0.500 0.250
Rh1 0.000 0.000 0.000
Rh2 0.191 0.309 0.363
```

Main lines, by angle (2θ from 15° to 90°):
- (2 1 1), 24.89 deg, d 3.577, I 19
- (2 2 0), 29.62 deg, d 3.015, I 55
- (3 1 0), 33.22 deg, d 2.697, I 33
- (2 1 3), 35.16 deg, d 2.552, I 100
- (3 1 2), 37.64 deg, d 2.389, I 43
- (3 2 1), 39.07 deg, d 2.306, I 20
- (2 0 4), 40.93 deg, d 2.205, I 41
- (4 0 2), 46.07 deg, d 1.970, I 29
- (2 1 5), 50.33 deg, d 1.813, I 23
- (4 1 3), 51.58 deg, d 1.772, I 22

Record 6
Sc3Pt2Rh: calculated powder X-ray diffraction pattern (a wavelength of 1.5418 Å), based on a crystal structure in Alexandria, relaxed with PBE.
Kinematic intensities with the Lorentz-polarization factor, no thermal factor.

Crystal structure
```
data_Sc3Pt2Rh
_space_group_name_H-M_alt 'C m m m'
_space_group_IT_number 65
_space_group_name_Hall '-C 2 2'
_cell_length_a 4.639
_cell_length_b 13.907
_cell_length_c 6.551
_cell_angle_alpha 90.00
_cell_angle_beta 90.00
_cell_angle_gamma 90.00
loop_
_atom_site_label
_atom_site_fract_x
_atom_site_fract_y
_atom_site_fract_z
Sc1 0.000 0.000 0.248
Sc2 0.000 0.332 0.247
Pt1 0.000 0.165 0.500
Pt2 0.000 0.500 0.000
Pt3 0.000 0.500 0.500
Rh1 0.000 0.168 0.000
```

Main lines, by angle (2θ from 15° to 90°):
- (1 3 0), 27.21 deg, d 3.278, I 41
- (1 3 1), 30.49 deg, d 2.932, I 2
- (2 0 0), 38.86 deg, d 2.318, I 100
- (0 0 3), 41.32 deg, d 2.185, I 1
- (2 0 2), 48.08 deg, d 1.892, I 12
- (2 6 0), 56.12 deg, d 1.639, I 17
- (3 3 0), 63.46 deg, d 1.466, I 17
- (3 3 2), 70.36 deg, d 1.338, I 34
- (4 0 0), 83.40 deg, d 1.159, I 11
- (4 0 2), 89.75 deg, d 1.093, I 8

Record 7
Sc4PtRh3: calculated powder X-ray diffraction pattern (a wavelength of 1.5418 Å), based on a crystal structure in Alexandria, relaxed with PBE.
Kinematic intensities with the Lorentz-polarization factor, no thermal factor.

Crystal structure
```
data_Sc4PtRh3
_space_group_name_H-M_alt 'R -3 m'
_space_group_IT_number 166
_space_group_name_Hall '-R 3 2"'
_cell_length_a 4.5958
_cell_length_b 4.5958
_cell_length_c 22.4670
_cell_angle_alpha 90.00
_cell_angle_beta 90.00
_cell_angle_gamma 120.00
loop_
_atom_site_label
_atom_site_fract_x
_atom_site_fract_y
_atom_site_fract_z
Sc1 0.0000 0.0000 0.1240
Sc2 0.0000 0.0000 0.3741
Pt1 0.0000 0.0000 0.5000
Rh1 0.0000 0.0000 0.0000
Rh2 0.0000 0.0000 0.2504
```

Main lines, by angle (2θ from 15° to 90°):
- (0 1 2), 23.73 deg, d 3.750, I 4
- (1 0 4), 27.47 deg, d 3.247, I 29
- (1 1 0), 39.23 deg, d 2.296, I 100
- (0 2 4), 48.56 deg, d 1.875, I 9
- (2 0 8), 56.69 deg, d 1.624, I 17
- (2 1 4), 64.12 deg, d 1.452, I 12
- (3 0 0), 71.08 deg, d 1.326, I 25
- (1 0 16), 71.21 deg, d 1.324, I 8
- (2 2 0), 84.29 deg, d 1.149, I 5
- (0 2 16), 84.43 deg, d 1.147, I 5

Record 8
PtRh2Se: calculated powder X-ray diffraction pattern (a wavelength of 1.5418 Å), based on a crystal structure in Alexandria, relaxed with PBE.
Kinematic intensities with the Lorentz-polarization factor, no thermal factor.

Crystal structure
```
data_PtRh2Se
_space_group_name_H-M_alt 'F -4 3 m'
_space_group_IT_number 216
_space_group_name_Hall 'F -4 2 3'
_cell_length_a 6.292
_cell_length_b 6.292
_cell_length_c 6.292
_cell_angle_alpha 90.00
_cell_angle_beta 90.00
_cell_angle_gamma 90.00
loop_
_atom_site_label
_atom_site_fract_x
_atom_site_fract_y
_atom_site_fract_z
Pt1 0.000 0.000 0.000
Rh1 0.000 0.000 0.500
Rh2 0.250 0.250 0.750
Se1 0.250 0.250 0.250
```

Main lines, by angle (2θ from 15° to 90°):
- (1 1 1), 24.51 deg, d 3.633, I 8
- (2 0 0), 28.37 deg, d 3.146, I 7
- (2 2 0), 40.55 deg, d 2.224, I 100
- (3 1 1), 47.96 deg, d 1.897, I 4
- (2 2 2), 50.23 deg, d 1.816, I 2
- (4 0 0), 58.70 deg, d 1.573, I 17
- (3 3 1), 64.57 deg, d 1.443, I 2
- (4 2 0), 66.46 deg, d 1.407, I 3
- (4 2 2), 73.78 deg, d 1.284, I 34
- (4 4 0), 87.76 deg, d 1.112, I 11

Record 9
Pt3Rh2Se10: calculated powder X-ray diffraction pattern (a wavelength of 1.5418 Å), based on a crystal structure in Alexandria, relaxed with PBE.
Kinematic intensities with the Lorentz-polarization factor, no thermal factor.

Crystal structure
```
data_Pt3Rh2Se10
_space_group_name_H-M_alt 'P -3 m 1'
_space_group_IT_number 164
_space_group_name_Hall '-P 3 2"'
_cell_length_a 3.7557
_cell_length_b 3.7557
_cell_length_c 26.4136
_cell_angle_alpha 90.00
_cell_angle_beta 90.00
_cell_angle_gamma 120.00
loop_
_atom_site_label
_atom_site_fract_x
_atom_site_fract_y
_atom_site_fract_z
Pt1 0.0000 0.0000 0.0000
Pt2 0.0000 0.0000 0.2124
Rh1 0.0000 0.0000 0.4039
Se1 0.3333 0.6667 0.0495
Se2 0.3333 0.6667 0.2620
Se3 0.3333 0.6667 0.4528
Se4 0.3333 0.6667 0.6429
Se5 0.3333 0.6667 0.8370
```

Main lines, by angle (2θ from 15° to 90°):
- (0 0 5), 16.78 deg, d 5.283, I 51
- (0 1 5), 32.32 deg, d 2.770, I 100
- (0 1 9), 41.44 deg, d 2.179, I 13
- (0 1 10), 44.17 deg, d 2.050, I 43
- (1 1 0), 48.48 deg, d 1.878, I 40
- (1 1 5), 51.66 deg, d 1.769, I 17
- (2 0 5), 59.47 deg, d 1.554, I 17
- (2 0 10), 67.65 deg, d 1.385, I 12
- (1 2 5), 80.16 deg, d 1.197, I 15
- (1 2 10), 87.53 deg, d 1.115, I 13

Record 10
PtRhSe2: calculated powder X-ray diffraction pattern (a wavelength of 1.5418 Å), based on a crystal structure in Alexandria, relaxed with PBE.
Kinematic intensities with the Lorentz-polarization factor, no thermal factor.

Crystal structure
```
data_PtRhSe2
_space_group_name_H-M_alt 'R 3 m'
_space_group_IT_number 160
_space_group_name_Hall 'R 3 -2"'
_cell_length_a 3.7292
_cell_length_b 3.7292
_cell_length_c 20.2892
_cell_angle_alpha 90.00
_cell_angle_beta 90.00
_cell_angle_gamma 120.00
loop_
_atom_site_label
_atom_site_fract_x
_atom_site_fract_y
_atom_site_fract_z
Pt1 0.0000 0.0000 0.0000
Rh1 0.0000 0.0000 0.2461
Se1 0.0000 0.0000 0.5277
Se2 0.0000 0.0000 0.7223
```

Main lines, by angle (2θ from 15° to 90°):
- (0 0 6), 26.36 deg, d 3.382, I 10
- (1 0 1), 27.97 deg, d 3.189, I 9
- (1 0 4), 32.88 deg, d 2.724, I 100
- (1 0 7), 41.88 deg, d 2.157, I 21
- (0 1 8), 45.47 deg, d 1.995, I 24
- (1 1 0), 48.84 deg, d 1.865, I 39
- (1 1 3), 50.79 deg, d 1.798, I 10
- (0 1 11), 57.54 deg, d 1.602, I 13
- (0 2 4), 60.13 deg, d 1.539, I 18
- (2 1 4), 81.02 deg, d 1.187, I 15

Record 11
TmSi2Pt4Rh: calculated powder X-ray diffraction pattern (a wavelength of 1.5418 Å), based on a crystal structure in Alexandria, relaxed with PBE.
Kinematic intensities with the Lorentz-polarization factor, no thermal factor.

Crystal structure
```
data_TmSi2Pt4Rh
_space_group_name_H-M_alt 'P 4/m m m'
_space_group_IT_number 123
_space_group_name_Hall '-P 4 2'
_cell_length_a 3.919
_cell_length_b 3.919
_cell_length_c 9.240
_cell_angle_alpha 90.00
_cell_angle_beta 90.00
_cell_angle_gamma 90.00
loop_
_atom_site_label
_atom_site_fract_x
_atom_site_fract_y
_atom_site_fract_z
Tm1 0.000 0.000 0.000
Si1 0.500 0.500 0.378
Pt1 0.000 0.500 0.235
Rh1 0.000 0.000 0.500
```

Main lines, by angle (2θ from 15° to 90°):
- (0 0 2), 19.21 deg, d 4.620, I 29
- (1 0 2), 29.90 deg, d 2.988, I 13
- (1 1 0), 32.31 deg, d 2.771, I 14
- (1 1 2), 37.86 deg, d 2.376, I 100
- (0 0 4), 38.99 deg, d 2.310, I 19
- (2 0 0), 46.34 deg, d 1.959, I 32
- (2 0 4), 62.12 deg, d 1.494, I 19
- (2 2 0), 67.62 deg, d 1.385, I 11
- (1 1 6), 69.88 deg, d 1.346, I 13
- (3 1 2), 80.20 deg, d 1.197, I 23

Record 12
Sm8PtRh2: calculated powder X-ray diffraction pattern (a wavelength of 1.5418 Å), based on a crystal structure in Alexandria, relaxed with PBE.
Kinematic intensities with the Lorentz-polarization factor, no thermal factor.

Crystal structure
```
data_Sm8PtRh2
_space_group_name_H-M_alt 'C 1 m 1'
_space_group_IT_number 8
_cell_length_a 8.395
_cell_length_b 12.751
_cell_length_c 6.293
_cell_angle_alpha 90.00
_cell_angle_beta 109.65
_cell_angle_gamma 90.00
loop_
_space_group_symop_operation_xyz
'x,y,z'
'x,-y,z'
'x+1/2,y+1/2,z'
'x+1/2,-y+1/2,z'
loop_
_atom_site_label
_atom_site_fract_x
_atom_site_fract_y
_atom_site_fract_z
Sm1 0.000 0.000 0.000
Sm2 0.070 0.368 0.790
Sm3 0.143 0.132 0.570
Sm4 0.217 0.500 0.373
Sm5 0.354 0.209 0.184
Pt1 0.360 0.000 0.375
Rh1 0.359 0.313 0.688
```

Main lines, by angle (2θ from 15° to 90°):
- (2 2 -1), 26.50 deg, d 3.363, I 37
- (1 1 -2), 29.26 deg, d 3.052, I 45
- (1 3 1), 30.20 deg, d 2.960, I 100
- (2 0 1), 31.12 deg, d 2.874, I 67
- (0 4 1), 31.88 deg, d 2.807, I 74
- (3 1 -1), 32.98 deg, d 2.716, I 78
- (0 2 2), 33.34 deg, d 2.687, I 60
- (2 2 -2), 34.16 deg, d 2.625, I 56
- (2 4 0), 36.19 deg, d 2.482, I 62
- (1 5 -1), 38.63 deg, d 2.331, I 84